# 1
Diffraction record for Li2FeSiO4. The X-ray powder pattern is theoretical, not measured: it uses a PBE+U-relaxed structure and a wavelength of 1.5418 Å.

Crystal structure
abc: 5.015 5.423 6.336
angles: 90.01 90.52 91.13
Sites, in units of the cell vectors:
Li1 0.000 0.000 0.000
Li2 0.004 0.490 0.774
Li3 0.501 0.819 0.769
Li4 0.507 0.309 0.541
Fe1 0.017 0.486 0.280
Fe2 0.493 0.824 0.260
Si1 0.499 0.327 0.013
Si2 0.994 0.985 0.530
O1 0.095 0.852 0.304
O2 0.103 0.276 0.526
O3 0.106 0.842 0.736
O4 0.169 0.332 0.025
O5 0.599 0.036 0.018
O6 0.608 0.471 0.807
O7 0.609 0.466 0.238
O8 0.664 0.975 0.517

Most intense lines, 2θ from 5° to 70°, in order of rising 2θ:
- (0 0 1), 2θ 13.98, intensity 100
- (0 1 -1), 2θ 21.57, intensity 44
- (1 0 1), 2θ 22.72, intensity 23
- (-1 1 1), 2θ 27.74, intensity 30
- (1 1 1), 2θ 28.33, intensity 24
- (0 1 2), 2θ 32.74, intensity 59
- (0 2 0), 2θ 33.04, intensity 33
- (2 0 0), 2θ 35.82, intensity 53
- (1 -1 2), 2θ 37.44, intensity 34
- (0 3 2), 2θ 58.82, intensity 35

# 2
Diffraction record for LiFeSiO4. The X-ray powder pattern is theoretical, not measured: it uses a PBE+U-relaxed structure and a wavelength of 1.5418 Å.

Crystal structure
abc: 5.420 6.168 10.694
angles: 90.00 109.77 90.00
Sites, in units of the cell vectors:
Li1 0.035 0.080 0.279
Li2 0.035 0.420 0.779
Li3 0.965 0.580 0.221
Li4 0.965 0.920 0.721
Fe1 0.443 0.649 0.605
Fe2 0.443 0.851 0.105
Fe3 0.557 0.149 0.895
Fe4 0.557 0.351 0.395
Si1 0.384 0.138 0.631
Si2 0.384 0.362 0.131
Si3 0.616 0.638 0.869
Si4 0.616 0.862 0.369
O1 0.224 0.160 0.740
O2 0.224 0.340 0.240
O3 0.288 0.579 0.040
O4 0.288 0.921 0.540
O5 0.314 0.629 0.759
O6 0.314 0.871 0.259
O7 0.348 0.146 0.032
O8 0.348 0.354 0.532
O9 0.652 0.646 0.468
O10 0.652 0.854 0.968
O11 0.686 0.129 0.741
O12 0.686 0.371 0.241
O13 0.712 0.079 0.460
O14 0.712 0.421 0.960
O15 0.776 0.660 0.760
O16 0.776 0.840 0.260

Most intense lines, 2θ from 5° to 70°, in order of rising 2θ:
- (1 0 0), 2θ 17.39, intensity 100
- (1 0 2), 2θ 28.83, intensity 21
- (0 2 1), 2θ 30.31, intensity 35
- (2 0 -2), 2θ 33.58, intensity 21
- (1 0 -4), 2θ 33.98, intensity 20
- (2 0 -4), 2θ 40.99, intensity 15
- (2 0 2), 2θ 44.97, intensity 12
- (1 2 3), 2θ 47.41, intensity 18
- (0 4 0), 2θ 60.03, intensity 11
- (2 2 3), 2θ 60.48, intensity 13

Copy entry 2 word for word.
Diffraction record for LiFeSiO4. The X-ray powder pattern is theoretical, not measured: it uses a PBE+U-relaxed structure and a wavelength of 1.5418 Å.

Crystal structure
abc: 5.420 6.168 10.694
angles: 90.00 109.77 90.00
Sites, in units of the cell vectors:
Li1 0.035 0.080 0.279
Li2 0.035 0.420 0.779
Li3 0.965 0.580 0.221
Li4 0.965 0.920 0.721
Fe1 0.443 0.649 0.605
Fe2 0.443 0.851 0.105
Fe3 0.557 0.149 0.895
Fe4 0.557 0.351 0.395
Si1 0.384 0.138 0.631
Si2 0.384 0.362 0.131
Si3 0.616 0.638 0.869
Si4 0.616 0.862 0.369
O1 0.224 0.160 0.740
O2 0.224 0.340 0.240
O3 0.288 0.579 0.040
O4 0.288 0.921 0.540
O5 0.314 0.629 0.759
O6 0.314 0.871 0.259
O7 0.348 0.146 0.032
O8 0.348 0.354 0.532
O9 0.652 0.646 0.468
O10 0.652 0.854 0.968
O11 0.686 0.129 0.741
O12 0.686 0.371 0.241
O13 0.712 0.079 0.460
O14 0.712 0.421 0.960
O15 0.776 0.660 0.760
O16 0.776 0.840 0.260

Most intense lines, 2θ from 5° to 70°, in order of rising 2θ:
- (1 0 0), 2θ 17.39, intensity 100
- (1 0 2), 2θ 28.83, intensity 21
- (0 2 1), 2θ 30.31, intensity 35
- (2 0 -2), 2θ 33.58, intensity 21
- (1 0 -4), 2θ 33.98, intensity 20
- (2 0 -4), 2θ 40.99, intensity 15
- (2 0 2), 2θ 44.97, intensity 12
- (1 2 3), 2θ 47.41, intensity 18
- (0 4 0), 2θ 60.03, intensity 11
- (2 2 3), 2θ 60.48, intensity 13

Q: Number 2 is which compound?
A: LiFeSiO4